Entry 1:
Calculated PXRD pattern of NaCdI for a wavelength of 1.5418 Å, from a structure optimized by DFT (GGA-PBE).

The 6 most intense peaks (10° ≤ 2θ ≤ 90°), by angle:
2theta  intensity
24.53  32
25.91  100
27.51  20
28.76  40
39.10  66
66.05  22

Cell and atoms:
Unit cell a=4.680 b=15.205 c=6.208 alpha=90.00 beta=90.00 gamma=90.00
Space group Cmc2_1 (No. 36)
Asymmetric unit:
Na 0.000 0.193 0.000
Cd 0.000 0.485 0.497
I 0.000 0.166 0.500


Entry 2:
Calculated PXRD pattern of Na3CdI4 for a wavelength of 1.5418 Å, from a structure optimized by DFT (GGA-PBE).

The 6 most intense peaks (10° ≤ 2θ ≤ 90°), by angle:
2theta  intensity
23.55  60
26.67  53
27.54  100
38.71  78
39.34  38
48.17  41

Cell and atoms:
Unit cell a=6.473 b=13.372 c=6.481 alpha=90.00 beta=90.00 gamma=90.00
Space group Pmmn (No. 59, origin choice 2)
Asymmetric unit:
Na 0.250 0.000 0.250
Na 0.250 0.250 0.750
Cd 0.250 0.750 0.749
I 0.250 0.008 0.750
I 0.250 0.250 0.250
I 0.250 0.750 0.249


Entry 3:
Calculated PXRD pattern of RbNaCdI4 for a wavelength of 1.5418 Å, from a structure optimized by DFT (GGA-PBE).

The 6 most intense peaks (10° ≤ 2θ ≤ 90°), by angle:
2theta  intensity
24.15  100
24.69  28
26.99  56
27.76  56
28.29  37
36.35  30

Cell and atoms:
Unit cell a=7.890 b=8.437 c=9.892 alpha=90.00 beta=106.40 gamma=90.00
Space group P2_1/m (No. 11)
Asymmetric unit:
Rb 0.219 0.250 0.052
Na 0.231 0.250 0.573
Cd 0.232 0.750 0.328
I 0.014 0.505 0.723
I 0.424 0.750 0.127
I 0.479 0.750 0.593


Entry 4:
Calculated PXRD pattern of Rb3Na3CdI8 for a wavelength of 1.5418 Å, from a structure optimized by DFT (GGA-PBE).

The 6 most intense peaks (10° ≤ 2θ ≤ 90°), by angle:
2theta  intensity
11.31  23
22.73  20
25.80  100
35.68  30
37.90  38
46.41  19

Cell and atoms:
Unit cell a=16.458 b=9.491 c=10.105 alpha=90.00 beta=122.91 gamma=90.00
Space group C2/m (No. 12)
Asymmetric unit:
Rb 0.000 0.000 0.000
Rb 0.250 0.250 0.000
Na 0.000 0.500 0.500
Na 0.250 0.250 0.500
Cd 0.000 0.000 0.500
I 0.011 0.234 0.299
I 0.223 0.000 0.701
I 0.238 0.500 0.714


Entry 5:
Calculated PXRD pattern of Nb4CdI7 for a wavelength of 1.5418 Å, from a structure optimized by DFT (GGA-PBE).

The 6 most intense peaks (10° ≤ 2θ ≤ 90°), by angle:
2theta  intensity
26.44  100
26.57  89
27.60  86
29.68  95
33.73  81
43.35  75

Cell and atoms:
Unit cell a=4.472 b=10.506 c=20.911 alpha=85.98 beta=87.63 gamma=80.93
Space group P1 (No. 1)
Asymmetric unit:
Nb 0.000 0.000 0.000
Nb 0.021 0.573 0.425
Nb 0.253 0.791 0.398
Nb 0.302 0.761 0.942
Nb 0.508 0.600 0.501
Nb 0.537 0.981 0.923
Nb 0.725 0.822 0.474
Nb 0.782 0.776 0.020
Cd 0.159 0.060 0.743
Cd 0.500 0.392 0.273
I 0.045 0.283 0.212
I 0.051 0.435 0.553
I 0.147 0.644 0.291
I 0.160 0.007 0.484
I 0.331 0.607 0.067
I 0.438 0.186 0.014
I 0.486 0.836 0.811
I 0.578 0.752 0.604
I 0.601 0.374 0.410
I 0.649 0.143 0.667
I 0.710 0.951 0.341
I 0.855 0.916 0.127
I 0.867 0.578 0.922
I 0.977 0.160 0.868


Entry 6:
Calculated PXRD pattern of TaCdIO6 for a wavelength of 1.5418 Å, from a structure optimized by DFT (GGA-PBE).

The 6 most intense peaks (10° ≤ 2θ ≤ 90°), by angle:
2theta  intensity
18.30  23
26.32  100
32.78  53
42.52  26
50.33  49
54.70  26

Cell and atoms:
Unit cell a=5.4640 b=5.4640 c=9.6935 alpha=90.00 beta=90.00 gamma=120.00
Space group P-31c (No. 163)
Asymmetric unit:
Ta 0.3333 0.6667 0.2500
Cd 0.0000 0.0000 0.0000
I 0.3333 0.6667 0.7500
O 0.0130 0.3684 0.1376


Entry 7:
Calculated PXRD pattern of ZnCd2IO6 for a wavelength of 1.5418 Å, from a structure optimized by DFT (GGA-PBE).

The 6 most intense peaks (10° ≤ 2θ ≤ 90°), by angle:
2theta  intensity
31.16  100
32.04  90
45.30  46
50.41  15
56.55  39
57.11  26

Cell and atoms:
Unit cell a=5.5873 b=5.5873 c=14.2630 alpha=90.00 beta=90.00 gamma=120.00
Space group R3 (No. 146, hexagonal axes)
Asymmetric unit:
Zn 0.0000 0.0000 0.0000
Cd 0.0000 0.0000 0.2667
Cd 0.0000 0.0000 0.7703
I 0.0000 0.0000 0.4914
O 0.0018 0.3962 0.2323
O 0.0710 0.7118 0.0690


- What is the formula in the sixth record?
  TaCdIO6


Copy entry 7 word for word.
Calculated PXRD pattern of ZnCd2IO6 for a wavelength of 1.5418 Å, from a structure optimized by DFT (GGA-PBE).

The 6 most intense peaks (10° ≤ 2θ ≤ 90°), by angle:
2theta  intensity
31.16  100
32.04  90
45.30  46
50.41  15
56.55  39
57.11  26

Cell and atoms:
Unit cell a=5.5873 b=5.5873 c=14.2630 alpha=90.00 beta=90.00 gamma=120.00
Space group R3 (No. 146, hexagonal axes)
Asymmetric unit:
Zn 0.0000 0.0000 0.0000
Cd 0.0000 0.0000 0.2667
Cd 0.0000 0.0000 0.7703
I 0.0000 0.0000 0.4914
O 0.0018 0.3962 0.2323
O 0.0710 0.7118 0.0690